Entry 1:
Structure and simulated powder diffraction line list of Ac2Pm7Sm (a GGA-PBE-relaxed structure; Cu Kα).

Structural model:
```
Ac2Pm7Sm
1.0
3.415 -14.998 0.000
3.415 14.998 0.000
0.000 0.000 3.611
Ac Pm Sm
2 7 1
direct
0.206 0.794 0.000
0.794 0.206 0.000
0.000 0.000 0.000
0.160 0.352 0.000
0.317 0.683 0.500
0.352 0.160 0.000
0.648 0.840 0.000
0.683 0.317 0.500
0.840 0.648 0.000
0.500 0.500 0.500
```

Main lines, most intense first (2θ = 10–90°):
31.74 deg, I 100; 29.79 deg, I 43; 28.73 deg, I 32; 28.11 deg, I 23; 30.54 deg, I 18; 39.05 deg, I 17; 38.21 deg, I 16; 24.65 deg, I 16

Entry 2:
Structure and simulated powder diffraction line list of CaDy2Hg3 (a GGA-PBE-relaxed structure; Cu Kα).

Structural model:
```
CaDy2Hg3
1.0
5.277 0.000 0.000
-2.639 4.570 0.000
0.000 0.000 12.918
Ca Dy Hg
2 4 6
direct
0.333 0.667 0.167
0.667 0.333 0.833
0.000 0.000 0.000
0.000 0.000 0.500
0.333 0.667 0.668
0.667 0.333 0.332
0.000 0.000 0.252
0.000 0.000 0.748
0.333 0.667 0.419
0.333 0.667 0.916
0.667 0.333 0.084
0.667 0.333 0.581
```

Main lines, most intense first (2θ = 10–90°):
33.98 deg, I 100; 60.82 deg, I 38; 48.82 deg, I 18; 81.61 deg, I 17; 71.53 deg, I 12; 23.85 deg, I 8; 20.62 deg, I 4; 55.04 deg, I 3

Entry 3:
Structure and simulated powder diffraction line list of Sr2ThIr9 (a GGA-PBE-relaxed structure; Cu Kα).

Structural model:
```
Sr2ThIr9
1.0
2.700 1.559 8.916
-2.700 1.559 8.916
0.000 -3.118 8.916
Sr Th Ir
2 1 9
direct
0.143 0.143 0.143
0.857 0.857 0.857
0.000 0.000 0.000
0.085 0.577 0.577
0.332 0.332 0.332
0.423 0.423 0.915
0.423 0.915 0.423
0.500 0.500 0.500
0.577 0.085 0.577
0.577 0.577 0.085
0.668 0.668 0.668
0.915 0.423 0.423
```

Main lines, most intense first (2θ = 10–90°):
38.99 deg, I 100; 40.47 deg, I 31; 42.17 deg, I 31; 45.44 deg, I 29; 38.65 deg, I 29; 19.26 deg, I 27; 69.63 deg, I 25; 63.18 deg, I 25

Entry 4:
Structure and simulated powder diffraction line list of LiCu3F10 (a GGA-PBE-relaxed structure; Cu Kα).

Structural model:
```
LiCu3F10
1.0
3.798 0.000 0.000
0.000 7.143 0.000
-1.049 0.000 14.170
Li Cu F
2 6 20
direct
0.000 0.241 0.000
0.000 0.759 0.500
0.361 0.120 0.216
0.361 0.880 0.716
0.394 0.365 0.628
0.394 0.635 0.128
0.433 0.476 0.881
0.433 0.524 0.381
0.319 0.304 0.122
0.319 0.696 0.622
0.352 0.083 0.627
0.352 0.917 0.127
0.389 0.038 0.813
0.389 0.962 0.313
0.397 0.378 0.497
0.397 0.622 0.997
0.400 0.298 0.319
0.400 0.702 0.819
0.422 0.366 0.758
0.422 0.634 0.258
0.477 0.253 0.952
0.477 0.747 0.452
0.860 0.125 0.210
0.860 0.875 0.710
0.893 0.384 0.627
0.893 0.616 0.127
0.935 0.458 0.888
0.935 0.542 0.388
```

Main lines, most intense first (2θ = 10–90°):
23.49 deg, I 100; 25.72 deg, I 56; 17.63 deg, I 48; 12.39 deg, I 44; 12.49 deg, I 42; 28.12 deg, I 38; 22.57 deg, I 30; 54.78 deg, I 29

Entry 5:
Structure and simulated powder diffraction line list of Pr2DyGe3Rh4 (a GGA-PBE-relaxed structure; Cu Kα).

Structural model:
```
Pr2DyGe3Rh4
1.0
4.211 0.000 0.000
0.000 4.211 0.000
0.000 0.000 11.203
Pr Dy Ge Rh
2 1 3 4
direct
0.000 0.500 0.230
0.500 0.000 0.770
0.000 0.000 0.500
0.000 0.500 0.879
0.500 0.000 0.121
0.500 0.500 0.500
0.000 0.000 0.000
0.000 0.500 0.657
0.500 0.000 0.343
0.500 0.500 0.000
```

Main lines, most intense first (2θ = 10–90°):
34.10 deg, I 100; 42.96 deg, I 49; 32.02 deg, I 41; 73.04 deg, I 21; 54.57 deg, I 21; 45.88 deg, I 20; 44.41 deg, I 18; 62.38 deg, I 16

Entry 6:
Structure and simulated powder diffraction line list of Nd5ErTl6 (a GGA-PBE-relaxed structure; Cu Kα).

Structural model:
```
Nd5ErTl6
1.0
2.758 -8.281 0.000
2.758 8.281 0.000
0.000 0.000 7.696
Nd Er Tl
5 1 6
direct
0.000 0.000 0.000
0.330 0.670 0.000
0.334 0.666 0.500
0.666 0.334 0.500
0.670 0.330 0.000
0.000 0.000 0.500
0.163 0.837 0.255
0.163 0.837 0.745
0.500 0.500 0.254
0.500 0.500 0.746
0.837 0.163 0.255
0.837 0.163 0.745
```

Main lines, most intense first (2θ = 10–90°):
32.68 deg, I 100; 32.45 deg, I 51; 58.04 deg, I 39; 58.48 deg, I 19; 46.55 deg, I 19; 68.49 deg, I 12; 47.24 deg, I 9; 77.46 deg, I 8